For Li2GeAs2Pd5, a PBE-relaxed structure gives the calculated powder X-ray diffraction pattern in this record (Cu Kα, 1.54184 Å).
Neutral-atom scattering factors, no anomalous dispersion.

Cell and atoms:
a = 10.2670 Å, b = 10.2670 Å, c = 3.1474 Å
α = 90.00°, β = 90.00°, γ = 90.00°
Space group P4/mbm (No. 127)
Inequivalent atoms, fractional coordinates:
Li (0.1714, 0.3286, 0.0000) [4 per cell]
Ge (0.0000, 0.0000, 0.0000) [2 per cell]
As (0.1379, 0.6379, 0.0000) [4 per cell]
Pd (0.0000, 0.5000, 0.5000) [2 per cell]
Pd (0.0328, 0.8040, 0.5000) [8 per cell]

The 10 most intense peaks (2θ = 10–90°), in order of falling intensity:
2θ (°), intensity, (hkl)
39.9, 100, 3 1 1
19.3, 55, 2 1 0
17.3, 45, 2 0 0
37.2, 41, 3 3 0
45.6, 31, 4 0 1
37.8, 30, 2 2 1
47.4, 25, 3 3 1
76.9, 25, 7 3 1
42.8, 22, 3 2 1
46.5, 20, 4 1 1